Record 1
Pm4Cd3Ag5: theoretical X-ray powder pattern (Cu Kα (λ = 1.5418 Å)), based on a GGA-PBE-relaxed structure.
Intensities are scaled so that the largest is 100.

Largest 8 diffraction maxima, low angle first, 2θ from 5° to 70°:
| 2θ/deg | I_rel |
| --- | --- |
| 27.13 | 42 |
| 29.10 | 30 |
| 30.61 | 91 |
| 32.70 | 49 |
| 35.26 | 100 |
| 35.87 | 40 |
| 38.47 | 43 |
| 48.85 | 31 |

Structure:
```
12
Lattice="6.6845 -2.5451 0.0000 6.6845 2.5451 0.0000 -6.4427 0.0000 9.2061" Properties=species:S:1:pos:R:3 pbc="T T T"
Pm -1.4128 0.0000 2.5527
Pm -1.4522 0.0000 6.5689
Pm 8.3785 0.0000 2.6372
Pm 8.3391 0.0000 6.6534
Cd 2.9789 0.0000 0.5565
Cd 6.6845 0.0000 0.0000
Cd 3.9475 0.0000 8.6496
Ag 0.0000 0.0000 0.0000
Ag 0.8994 0.0000 4.6057
Ag 3.4972 0.0000 3.2578
Ag 3.4291 0.0000 5.9483
Ag 6.0269 0.0000 4.6004
```

---

Record 2
Pm4CdAg3: theoretical X-ray powder pattern (Cu Kα (λ = 1.5418 Å)), based on a GGA-PBE-relaxed structure.
Intensities are scaled so that the largest is 100.

Largest 8 diffraction maxima, low angle first, 2θ from 5° to 70°:
| 2θ/deg | I_rel |
| --- | --- |
| 30.42 | 21 |
| 31.01 | 100 |
| 33.13 | 36 |
| 35.59 | 44 |
| 36.55 | 38 |
| 37.98 | 50 |
| 50.14 | 29 |
| 62.40 | 29 |

Structure:
```
8
Lattice="3.7365 0.0000 0.0000 0.0000 4.9171 0.0000 0.0000 0.0000 11.7536" Properties=species:S:1:pos:R:3 pbc="T T T"
Pm 0.0000 0.0000 0.0000
Pm 0.0000 2.4586 3.3816
Pm 1.8683 0.0000 5.7240
Pm 1.8683 2.4586 9.3750
Cd 0.0000 0.0000 8.4233
Ag 0.0000 2.4586 6.6451
Ag 1.8683 0.0000 2.5518
Ag 1.8683 2.4586 0.8231
```

---

Record 3
Pm2Cd3Ag: theoretical X-ray powder pattern (Cu Kα (λ = 1.5418 Å)), based on a GGA-PBE-relaxed structure.
Intensities are scaled so that the largest is 100.

Largest 8 diffraction maxima, low angle first, 2θ from 5° to 70°:
| 2θ/deg | I_rel |
| --- | --- |
| 33.32 | 100 |
| 35.77 | 85 |
| 44.77 | 4 |
| 49.68 | 32 |
| 53.55 | 9 |
| 62.71 | 31 |
| 64.26 | 15 |
| 66.08 | 27 |

Structure:
```
6
Lattice="3.4225 0.0000 0.0000 0.0000 5.0187 0.0000 0.0000 0.0000 8.7012" Properties=species:S:1:pos:R:3 pbc="T T T"
Pm 0.0000 0.0000 0.0000
Pm 0.0000 2.5094 4.2067
Cd 1.7112 0.0000 5.7117
Cd 1.7112 2.5094 1.3857
Cd 1.7112 2.5094 7.1622
Ag 1.7112 0.0000 2.8308
```

---

Record 4
Pm5Cd2Ag12: theoretical X-ray powder pattern (Cu Kα (λ = 1.5418 Å)), based on a GGA-PBE-relaxed structure.
Intensities are scaled so that the largest is 100.

Largest 8 diffraction maxima, low angle first, 2θ from 5° to 70°:
| 2θ/deg | I_rel |
| --- | --- |
| 31.80 | 46 |
| 32.73 | 32 |
| 33.39 | 74 |
| 34.12 | 29 |
| 34.80 | 100 |
| 36.50 | 86 |
| 39.86 | 28 |
| 65.52 | 30 |

Structure:
```
19
Lattice="7.9385 -3.7755 0.0000 7.9385 3.7755 0.0000 -0.2436 0.0000 7.2289" Properties=species:S:1:pos:R:3 pbc="T T T"
Pm 0.0000 0.0000 0.0000
Pm 3.6717 0.0000 6.7909
Pm 4.7284 0.0000 3.3395
Pm 10.9050 0.0000 3.8894
Pm 11.9617 0.0000 0.4381
Cd 7.8167 1.6376 3.6145
Cd 7.8167 -1.6376 3.6145
Ag 5.4269 2.3519 5.4127
Ag 1.6862 0.0000 4.3287
Ag 6.2045 1.4840 1.0837
Ag 10.2065 2.3519 1.8163
Ag 9.4290 1.4840 6.1453
Ag 6.9115 0.0000 5.9497
Ag 8.7219 0.0000 1.2792
Ag 6.2045 -1.4840 1.0837
Ag 5.4269 -2.3519 5.4127
Ag 9.4290 -1.4840 6.1453
Ag 13.9473 0.0000 2.9002
Ag 10.2065 -2.3519 1.8163
```

---

Record 5
Pm4Cd3Ag: theoretical X-ray powder pattern (Cu Kα (λ = 1.5418 Å)), based on a GGA-PBE-relaxed structure.
Intensities are scaled so that the largest is 100.

Largest 8 diffraction maxima, low angle first, 2θ from 5° to 70°:
| 2θ/deg | I_rel |
| --- | --- |
| 23.38 | 2 |
| 33.30 | 100 |
| 41.08 | 1 |
| 47.77 | 12 |
| 47.88 | 6 |
| 53.84 | 1 |
| 59.50 | 36 |
| 69.92 | 11 |

Structure:
```
8
Lattice="3.8082 0.0000 0.0000 0.0000 3.8082 0.0000 0.0000 0.0000 15.1998" Properties=species:S:1:pos:R:3 pbc="T T T"
Pm 0.0000 0.0000 1.8256
Pm 0.0000 0.0000 5.6722
Pm 0.0000 0.0000 9.5276
Pm 0.0000 0.0000 13.3742
Cd 1.9041 1.9041 3.7686
Cd 1.9041 1.9041 7.5999
Cd 1.9041 1.9041 11.4311
Ag 1.9041 1.9041 0.0000
```

---

Record 6
PmCdAg: theoretical X-ray powder pattern (Cu Kα (λ = 1.5418 Å)), based on a GGA-PBE-relaxed structure.
Intensities are scaled so that the largest is 100.

Largest 8 diffraction maxima, low angle first, 2θ from 5° to 70°:
| 2θ/deg | I_rel |
| --- | --- |
| 33.40 | 48 |
| 33.52 | 100 |
| 36.11 | 80 |
| 36.43 | 41 |
| 50.25 | 30 |
| 53.55 | 15 |
| 63.71 | 15 |
| 66.30 | 26 |

Structure:
```
6
Lattice="4.9326 0.0000 0.0000 0.0000 3.4220 0.0000 0.0000 0.0000 8.6417" Properties=species:S:1:pos:R:3 pbc="T T T"
Pm 1.2332 0.0000 2.0049
Pm 3.6995 0.0000 6.6368
Cd 1.2332 1.7110 5.0417
Cd 3.6995 1.7110 3.6001
Ag 1.2332 1.7110 7.9051
Ag 3.6995 1.7110 0.7367
```

---

Record 7
Pm2Cd7Ag: theoretical X-ray powder pattern (Cu Kα (λ = 1.5418 Å)), based on a GGA-PBE-relaxed structure.
Intensities are scaled so that the largest is 100.

Largest 8 diffraction maxima, low angle first, 2θ from 5° to 70°:
| 2θ/deg | I_rel |
| --- | --- |
| 17.04 | 11 |
| 24.19 | 29 |
| 29.74 | 77 |
| 34.48 | 100 |
| 42.56 | 13 |
| 49.56 | 70 |
| 58.87 | 32 |
| 61.77 | 23 |

Structure:
```
10
Lattice="0.0000 5.2027 5.2027 5.2027 0.0000 5.2027 5.2027 5.2027 0.0000" Properties=species:S:1:pos:R:3 pbc="T T T"
Pm 2.6014 2.6014 2.6014
Pm 7.8041 7.8041 7.8041
Cd 0.0000 0.0000 0.0000
Cd 5.2027 5.2027 2.6282
Cd 5.2027 2.6282 5.2027
Cd 7.7773 5.2027 5.2027
Cd 2.6282 5.2027 5.2027
Cd 5.2027 7.7773 5.2027
Cd 5.2027 5.2027 7.7773
Ag 5.2027 5.2027 5.2027
```

---

Record 8
PmCd4Ag4: theoretical X-ray powder pattern (Cu Kα (λ = 1.5418 Å)), based on a GGA-PBE-relaxed structure.
Intensities are scaled so that the largest is 100.

Largest 8 diffraction maxima, low angle first, 2θ from 5° to 70°:
| 2θ/deg | I_rel |
| --- | --- |
| 29.66 | 18 |
| 30.12 | 15 |
| 32.96 | 85 |
| 38.45 | 29 |
| 39.15 | 100 |
| 40.43 | 35 |
| 58.50 | 21 |
| 64.85 | 17 |

Structure:
```
18
Lattice="6.3110 0.0000 0.0000 0.0000 6.3110 0.0000 0.0000 0.0000 10.0850" Properties=species:S:1:pos:R:3 pbc="T T T"
Pm 1.5777 4.7332 2.5212
Pm 4.7332 1.5777 7.5637
Cd 0.1798 1.5777 1.7671
Cd 1.5777 0.1798 6.8096
Cd 1.5777 2.9757 6.8096
Cd 2.9757 1.5777 1.7671
Cd 3.3353 4.7332 8.3179
Cd 4.7332 3.3353 3.2754
Cd 4.7332 6.1311 3.2754
Cd 6.1311 4.7332 8.3179
Ag 0.1193 1.5777 4.7491
Ag 1.5777 0.1193 9.7916
Ag 1.5777 3.0362 9.7916
Ag 3.0362 1.5777 4.7491
Ag 3.2747 4.7332 5.3359
Ag 4.7332 3.2747 0.2934
Ag 4.7332 6.1917 0.2934
Ag 6.1917 4.7332 5.3359
```

---

Record 9
PmCd9Ag2: theoretical X-ray powder pattern (Cu Kα (λ = 1.5418 Å)), based on a GGA-PBE-relaxed structure.
Intensities are scaled so that the largest is 100.

Largest 8 diffraction maxima, low angle first, 2θ from 5° to 70°:
| 2θ/deg | I_rel |
| --- | --- |
| 29.59 | 32 |
| 33.64 | 100 |
| 33.76 | 65 |
| 36.45 | 31 |
| 39.58 | 26 |
| 39.78 | 88 |
| 41.56 | 34 |
| 60.31 | 31 |

Structure:
```
24
Lattice="-5.9372 5.9372 3.7802 5.9372 -5.9372 3.7802 5.9372 5.9372 -3.7802" Properties=species:S:1:pos:R:3 pbc="T T T"
Pm 5.9372 2.9686 0.9450
Pm 0.0000 2.9686 2.8351
Cd 4.5088 -0.5942 1.3184
Cd 7.3655 -0.5942 1.3184
Cd 5.9372 -2.9686 2.8351
Cd 2.3744 1.5402 0.5717
Cd 9.4999 1.5402 0.5717
Cd 4.5088 5.3430 -1.3184
Cd 1.4284 -0.5942 2.4618
Cd 2.3744 4.3970 0.5717
Cd 3.5628 -1.5402 4.3519
Cd 2.3744 7.4773 -0.5717
Cd 3.5628 1.5402 3.2084
Cd 4.5088 6.5313 1.3184
Cd 1.4284 0.5942 5.0985
Cd -3.5628 4.3970 3.2084
Cd 3.5628 4.3970 3.2084
Cd 0.0000 8.9057 0.9450
Cd -1.4284 6.5313 2.4618
Cd 1.4284 6.5313 2.4618
Ag 0.0000 0.0000 0.0000
Ag 2.9686 2.9686 -1.8901
Ag 2.9686 -2.9686 1.8901
Ag 0.0000 5.9372 0.0000
```

---

Record 10
Pr5CdAg4: theoretical X-ray powder pattern (Cu Kα (λ = 1.5418 Å)), based on a GGA-PBE-relaxed structure.
Intensities are scaled so that the largest is 100.

Largest 8 diffraction maxima, low angle first, 2θ from 5° to 70°:
| 2θ/deg | I_rel |
| --- | --- |
| 23.39 | 1 |
| 33.32 | 100 |
| 47.73 | 6 |
| 47.90 | 12 |
| 53.96 | 1 |
| 59.48 | 12 |
| 59.58 | 24 |
| 69.93 | 7 |

Structure:
```
10
Lattice="3.7985 0.0000 0.0000 0.0000 3.7985 0.0000 0.0000 0.0000 19.0556" Properties=species:S:1:pos:R:3 pbc="T T T"
Pr 0.0000 0.0000 0.0000
Pr 0.0000 0.0000 3.7784
Pr 0.0000 0.0000 7.5398
Pr 0.0000 0.0000 11.5157
Pr 0.0000 0.0000 15.2772
Cd 1.8993 1.8993 9.5278
Ag 1.8993 1.8993 1.8785
Ag 1.8993 1.8993 5.6578
Ag 1.8993 1.8993 13.3978
Ag 1.8993 1.8993 17.1770
```

---

Record 11
Pr4Cd2Ag: theoretical X-ray powder pattern (Cu Kα (λ = 1.5418 Å)), based on a GGA-PBE-relaxed structure.
Intensities are scaled so that the largest is 100.

Largest 8 diffraction maxima, low angle first, 2θ from 5° to 70°:
| 2θ/deg | I_rel |
| --- | --- |
| 29.16 | 28 |
| 29.88 | 100 |
| 32.20 | 58 |
| 32.99 | 51 |
| 33.16 | 24 |
| 34.45 | 55 |
| 36.16 | 32 |
| 37.13 | 40 |

Structure:
```
14
Lattice="16.0399 0.0000 0.0000 0.0000 3.6536 0.0000 -3.6312 0.0000 7.3507" Properties=species:S:1:pos:R:3 pbc="T T T"
Pr 0.6351 0.0000 1.6262
Pr -1.0652 1.8268 6.3481
Pr 5.4540 0.0000 1.0025
Pr 3.7537 1.8268 5.7245
Pr 8.6551 1.8268 1.6262
Pr 6.9548 0.0000 6.3481
Pr 13.4739 1.8268 1.0025
Pr 11.7736 0.0000 5.7245
Cd 1.1995 0.0000 4.7825
Cd 3.1893 1.8268 2.5681
Cd 9.2194 1.8268 4.7825
Cd 11.2093 0.0000 2.5681
Ag -1.8156 0.0000 3.6753
Ag 6.2044 1.8268 3.6753
```

---

Record 12
PrCd2Ag10: theoretical X-ray powder pattern (Cu Kα (λ = 1.5418 Å)), based on a GGA-PBE-relaxed structure.
Intensities are scaled so that the largest is 100.

Largest 8 diffraction maxima, low angle first, 2θ from 5° to 70°:
| 2θ/deg | I_rel |
| --- | --- |
| 32.01 | 61 |
| 36.63 | 65 |
| 37.07 | 82 |
| 37.24 | 100 |
| 37.59 | 68 |
| 41.50 | 46 |
| 42.08 | 38 |
| 66.93 | 37 |

Structure:
```
13
Lattice="0.0000 6.7467 6.9764 2.7842 0.0000 6.9764 2.7842 6.7467 0.0000" Properties=species:S:1:pos:R:3 pbc="T T T"
Pr 0.0000 0.0000 0.0000
Cd 1.3921 0.0000 3.4882
Cd 1.3921 6.7467 3.4882
Ag 1.3921 3.3734 0.0000
Ag 2.7842 2.4149 4.5608
Ag 2.7842 5.2929 5.4942
Ag 2.7842 2.4149 9.3921
Ag 2.7842 5.2929 8.4587
Ag 1.3921 3.3734 6.9764
Ag 2.7842 8.2006 5.4942
Ag 2.7842 11.0786 4.5608
Ag 2.7842 8.2006 8.4587
Ag 2.7842 11.0786 9.3921
```